Record 1
Np2AgBi4: simulated powder diffractogram (λ = 1.5418 Å (Cu Kα)), based on a crystal structure in Alexandria, relaxed with GGA-PBE.
Peak positions follow from Bragg's law for the DFT cell and can differ from measured ones.

Cell and atoms:
abc: 4.5723 4.5723 9.7672
angles: 90.00 90.00 90.00
Sites, in units of the cell vectors:
Np 0.0000 0.5000 0.2396
Np 0.5000 0.0000 0.7604
Ag 0.5000 0.5000 0.0000
Bi 0.0000 0.0000 0.5000
Bi 0.0000 0.5000 0.8214
Bi 0.5000 0.0000 0.1786
Bi 0.5000 0.5000 0.5000

Main lines, by angle (10 to 80 degrees two-theta):
- 2θ = 27.39°, rel. 17, (0 0 3)
- 2θ = 29.09°, rel. 24, (1 1 1)
- 2θ = 33.23°, rel. 100, (1 1 2)
- 2θ = 39.41°, rel. 40, (2 0 0)
- 2θ = 48.67°, rel. 15, (2 0 3)
- 2θ = 50.83°, rel. 10, (1 0 5)
- 2θ = 54.91°, rel. 10, (1 1 5)
- 2θ = 55.02°, rel. 12, (2 0 4)
- 2θ = 56.96°, rel. 14, (2 2 0)
- 2θ = 67.57°, rel. 27, (3 1 2)


Record 2
LiCeErGe: simulated powder diffractogram (λ = 1.5418 Å (Cu Kα)), based on a crystal structure in Alexandria, relaxed with GGA-PBE.
Peak positions follow from Bragg's law for the DFT cell and can differ from measured ones.

Cell and atoms:
abc: 7.1590 7.1590 7.1590
angles: 90.00 90.00 90.00
Sites, in units of the cell vectors:
Li 0.0000 0.0000 0.0000
Li 0.0000 0.5000 0.5000
Li 0.5000 0.0000 0.5000
Li 0.5000 0.5000 0.0000
Ce 0.2500 0.2500 0.2500
Ce 0.2500 0.7500 0.7500
Ce 0.7500 0.2500 0.7500
Ce 0.7500 0.7500 0.2500
Er 0.2500 0.2500 0.7500
Er 0.2500 0.7500 0.2500
Er 0.7500 0.2500 0.2500
Er 0.7500 0.7500 0.7500
Ge 0.0000 0.0000 0.5000
Ge 0.0000 0.5000 0.0000
Ge 0.5000 0.0000 0.0000
Ge 0.5000 0.5000 0.5000

Main lines, by angle (10 to 80 degrees two-theta):
- 2θ = 21.50°, rel. 9, (1 1 1)
- 2θ = 24.87°, rel. 42, (2 0 0)
- 2θ = 35.47°, rel. 100, (2 2 0)
- 2θ = 41.85°, rel. 5, (3 1 1)
- 2θ = 43.81°, rel. 13, (2 2 2)
- 2θ = 51.03°, rel. 18, (4 0 0)
- 2θ = 55.99°, rel. 2, (3 3 1)
- 2θ = 57.58°, rel. 17, (4 2 0)
- 2θ = 63.68°, rel. 36, (4 2 2)
- 2θ = 75.06°, rel. 11, (4 4 0)


Record 3
UMn2TcP2: simulated powder diffractogram (λ = 1.5418 Å (Cu Kα)), based on a crystal structure in Alexandria, relaxed with GGA-PBE.
Peak positions follow from Bragg's law for the DFT cell and can differ from measured ones.

Cell and atoms:
abc: 3.8768 6.9775 6.4828
angles: 90.00 90.00 90.00
Sites, in units of the cell vectors:
U 0.0000 0.0847 0.0000
U 0.0000 0.9153 0.5000
Mn 0.0000 0.3204 0.3677
Mn 0.0000 0.6796 0.8677
Mn 0.5000 0.4285 0.0450
Mn 0.5000 0.5715 0.5450
Tc 0.5000 0.1980 0.6696
Tc 0.5000 0.8020 0.1696
P 0.0000 0.3980 0.7150
P 0.0000 0.6020 0.2150
P 0.5000 0.1559 0.2970
P 0.5000 0.8441 0.7970

Main lines, by angle (10 to 80 degrees two-theta):
- 2θ = 12.69°, rel. 64, (0 1 0)
- 2θ = 26.30°, rel. 26, (1 1 0)
- 2θ = 29.75°, rel. 30, (1 1 1)
- 2θ = 36.12°, rel. 39, (1 0 2)
- 2θ = 37.35°, rel. 100, (1 2 1)
- 2θ = 38.43°, rel. 80, (1 1 2)
- 2θ = 41.24°, rel. 36, (0 3 1)
- 2θ = 43.86°, rel. 29, (0 1 3)
- 2θ = 46.87°, rel. 32, (2 0 0)
- 2θ = 73.98°, rel. 25, (1 4 3)